No. 1
For ZnHg4Te5, a structure optimized by DFT (PBE) gives the calculated powder diffraction line list in this record (copper Kα).

Principal peaks in the range 2θ from 5° to 70°, low angle first:
(0 0 6), 9.34 deg, d 9.465, I = 16; (0 1 5), 23.49 deg, d 3.788, I = 1000; (1 0 10), 27.19 deg, d 3.280, I = 29; (0 1 17), 34.93 deg, d 2.569, I = 28; (1 1 0), 38.83 deg, d 2.319, I = 784; (1 0 22), 41.58 deg, d 2.172, I = 19; (2 0 5), 45.88 deg, d 1.978, I = 499; (2 0 20), 56.07 deg, d 1.640, I = 131; (1 2 5), 61.62 deg, d 1.505, I = 202; (1 0 37), 65.05 deg, d 1.434, I = 16

Structural model:
a b c (Å): 4.6400 4.6400 56.7896
angles (deg): 90.00 90.00 120.00
Space group R3m (No. 160, hexagonal axes)
Unique sites:
Zn  0.0000  0.0000  0.0000 x3
Hg  0.0000  0.0000  0.2005 x3
Hg  0.0000  0.0000  0.3972 x3
Hg  0.0000  0.0000  0.6020 x3
Hg  0.0000  0.0000  0.7989 x3
Te  0.0000  0.0000  0.1501 x3
Te  0.0000  0.0000  0.3466 x3
Te  0.0000  0.0000  0.5516 x3
Te  0.0000  0.0000  0.7485 x3
Te  0.0000  0.0000  0.9529 x3



No. 2
For ZrHgTe2, a structure optimized by DFT (PBE) gives the calculated powder diffraction line list in this record (copper Kα).

Principal peaks in the range 2θ from 5° to 70°, low angle first:
(1 1 1), 12.98 deg, d 6.822, I = 297; (2 2 2), 26.13 deg, d 3.411, I = 279; (2 2 -3), 28.81 deg, d 3.099, I = 376; (2 2 3), 29.71 deg, d 3.007, I = 1000; (3 1 3), 31.87 deg, d 2.808, I = 270; (2 2 -4), 33.07 deg, d 2.709, I = 610; (4 0 -2), 33.69 deg, d 2.660, I = 605; (0 4 2), 35.00 deg, d 2.564, I = 563; (2 2 -5), 37.88 deg, d 2.375, I = 537; (4 4 0), 46.28 deg, d 1.962, I = 267

Structural model:
a b c (Å): 11.245 10.965 14.587
angles (deg): 90.00 92.52 90.00
Space group C2/c (No. 15)
Unique sites:
Zr  0.004  0.121  0.140 x8
Zr  0.245  0.378  0.351 x8
Hg  0.070  0.435  0.904 x8
Hg  0.189  0.307  0.095 x8
Te  0.000  0.113  0.750 x4
Te  0.000  0.349  0.250 x4
Te  0.104  0.279  0.510 x8
Te  0.152  0.026  0.996 x8
Te  0.228  0.114  0.267 x8



No. 3
For ZrHgTe2, a structure optimized by DFT (PBE) gives the calculated powder diffraction line list in this record (copper Kα).

Principal peaks in the range 2θ from 5° to 70°, low angle first:
(1 0 2), 29.95 deg, d 2.983, I = 340; (1 2 0), 30.62 deg, d 2.920, I = 1000; (0 2 2), 31.25 deg, d 2.862, I = 444; (0 0 3), 34.86 deg, d 2.573, I = 239; (0 2 -2), 36.62 deg, d 2.454, I = 297; (1 0 -2), 36.89 deg, d 2.436, I = 525; (1 -2 0), 38.54 deg, d 2.336, I = 303; (2 1 1), 46.54 deg, d 1.951, I = 252; (1 2 -3), 53.71 deg, d 1.707, I = 188; (2 3 3), 57.14 deg, d 1.612, I = 161

Structural model:
a b c (Å): 3.902 7.550 8.048
angles (deg): 78.14 76.09 75.04
Space group P-1 (No. 2)
Unique sites:
Zr  0.076  0.271  0.078 x2
Hg  0.103  0.758  0.531 x2
Te  0.342  0.020  0.796 x2
Te  0.376  0.550  0.200 x2



No. 4
For ZrHgTe2, a structure optimized by DFT (PBE) gives the calculated powder diffraction line list in this record (copper Kα).

Principal peaks in the range 2θ from 5° to 70°, low angle first:
(0 0 3), 27.52 deg, d 3.241, I = 215; (1 0 1), 27.88 deg, d 3.201, I = 1000; (1 0 2), 32.20 deg, d 2.780, I = 979; (1 0 3), 38.43 deg, d 2.342, I = 464; (1 1 0), 46.40 deg, d 1.957, I = 434; (1 0 5), 54.40 deg, d 1.687, I = 282; (1 1 3), 54.80 deg, d 1.675, I = 195; (2 0 1), 55.00 deg, d 1.670, I = 153; (2 0 2), 57.60 deg, d 1.600, I = 187; (1 1 4), 60.77 deg, d 1.524, I = 142

Structural model:
a b c (Å): 3.9138 3.9138 9.7218
angles (deg): 90.00 90.00 120.00
Space group P-6m2 (No. 187)
Unique sites:
Zr  0.0000  0.0000  0.0000 x1
Hg  0.6667  0.3333  0.5000 x1
Te  0.3333  0.6667  0.1928 x2